The following is a calculated XRD peak list of SrMnBi2O4. It was derived from a structure optimized by DFT (PBE+U), using copper Kα.
Neutral-atom scattering factors, no anomalous dispersion.

Crystal structure
```
data_SrMnBi2O4
_space_group_name_H-M_alt 'C m c m'
_space_group_IT_number 63
_space_group_name_Hall '-C 2c 2'
_cell_length_a 3.4389
_cell_length_b 12.7390
_cell_length_c 12.9758
_cell_angle_alpha 90.00
_cell_angle_beta 90.00
_cell_angle_gamma 90.00
loop_
_atom_site_label
_atom_site_type_symbol
_atom_site_fract_x
_atom_site_fract_y
_atom_site_fract_z
Sr1 Sr 0.0000 0.0315 0.2500
Mn1 Mn 0.0000 0.2317 0.7500
Bi1 Bi 0.0000 0.3643 0.0140
O1 O 0.0000 0.0000 0.0000
O2 O 0.0000 0.3616 0.6498
O3 O 0.0000 0.3669 0.2500
```

Most intense lines, 15 to 90 degrees two-theta, low angle first:
- 3.320 Å, I 24, (1 1 0)
- 3.244 Å, I 88, (0 0 4)
- 3.185 Å, I 29, (0 4 0)
- 2.956 Å, I 100, (1 1 2)
- 2.859 Å, I 92, (0 4 2)
- 2.672 Å, I 76, (1 3 0)
- 2.471 Å, I 46, (1 3 2)
- 2.063 Å, I 52, (1 3 4)
- 1.812 Å, I 24, (1 1 6)
- 1.473 Å, I 27, (2 4 2)